Starting from a DFT-relaxed cell (PBE, Alexandria), the powder diffraction line list of NiIrPt was calculated for Cu Kα.
No peak broadening, texture or thermal motion is included.

Crystal structure
Lattice parameters (Å, degrees): 2.729 2.729 11.119 90.00 90.00 90.00
Element x y z (fractional)
Ni (0.000, 0.000, 0.000)
Ni (0.000, 0.000, 0.327)
Ir (0.000, 0.000, 0.674)
Ir (0.500, 0.500, 0.842)
Pt (0.500, 0.500, 0.164)
Pt (0.500, 0.500, 0.491)

Most intense lines, 10 to 80 degrees two-theta, in order of rising 2θ:
| d (Å) | two_theta | I/Imax |
| --- | --- | --- |
| 3.706 | 24.0 | 8 |
| 2.729 | 32.8 | 7 |
| 2.650 | 33.8 | 4 |
| 2.449 | 36.7 | 5 |
| 2.197 | 41.1 | 100 |
| 1.929 | 47.1 | 34 |
| 1.853 | 49.2 | 14 |
| 1.711 | 53.5 | 4 |
| 1.364 | 68.8 | 11 |
| 1.337 | 70.5 | 19 |


Starting from a DFT-relaxed cell (PBE, Alexandria), the powder diffraction line list of CrTcN was calculated for Cu Kα.
No peak broadening, texture or thermal motion is included.

Crystal structure
Lattice parameters (Å, degrees): 5.029 7.296 4.175 90.00 111.71 90.00
Element x y z (fractional)
Cr (0.056, 0.167, 0.027)
Cr (0.056, 0.333, 0.527)
Cr (0.944, 0.667, 0.473)
Cr (0.944, 0.833, 0.973)
Tc (0.287, 0.519, 0.123)
Tc (0.287, 0.981, 0.623)
Tc (0.713, 0.019, 0.377)
Tc (0.713, 0.481, 0.877)
N (0.292, 0.552, 0.629)
N (0.292, 0.948, 0.129)
N (0.708, 0.052, 0.871)
N (0.708, 0.448, 0.371)

Most intense lines, 10 to 80 degrees two-theta, in order of rising 2θ:
| d (Å) | two_theta | I/Imax |
| --- | --- | --- |
| 3.648 | 24.4 | 100 |
| 3.425 | 26.0 | 31 |
| 2.875 | 31.1 | 42 |
| 2.412 | 37.3 | 90 |
| 2.313 | 38.9 | 96 |
| 2.085 | 43.4 | 82 |
| 2.061 | 43.9 | 79 |
| 2.039 | 44.4 | 54 |
| 1.967 | 46.1 | 69 |
| 1.461 | 63.7 | 29 |


Starting from a DFT-relaxed cell (PBE, Alexandria), the powder diffraction line list of Na2Bi3Pb was calculated for Cu Kα.
No peak broadening, texture or thermal motion is included.

Crystal structure
Lattice parameters (Å, degrees): 7.423 7.423 6.879 90.00 90.00 92.09
Element x y z (fractional)
Na (0.064, 0.602, 0.750)
Na (0.398, 0.936, 0.750)
Na (0.602, 0.064, 0.250)
Na (0.936, 0.398, 0.250)
Bi (0.000, 0.000, 0.000)
Bi (0.000, 0.000, 0.500)
Bi (0.331, 0.331, 0.000)
Bi (0.331, 0.331, 0.500)
Bi (0.669, 0.669, 0.000)
Bi (0.669, 0.669, 0.500)
Pb (0.278, 0.722, 0.250)
Pb (0.722, 0.278, 0.750)

Most intense lines, 10 to 80 degrees two-theta, in order of rising 2θ:
| d (Å) | two_theta | I/Imax |
| --- | --- | --- |
| 5.343 | 16.6 | 42 |
| 5.044 | 17.6 | 32 |
| 3.270 | 27.3 | 63 |
| 2.892 | 30.9 | 100 |
| 2.672 | 33.5 | 37 |
| 2.473 | 36.3 | 49 |
| 2.370 | 38.0 | 70 |
| 2.008 | 45.2 | 25 |
| 1.605 | 57.4 | 31 |
| 1.477 | 62.9 | 27 |


Starting from a DFT-relaxed cell (PBE, Alexandria), the powder diffraction line list of Nb2CoGe was calculated for Cu Kα.
No peak broadening, texture or thermal motion is included.

Crystal structure
Lattice parameters (Å, degrees): 5.129 3.702 7.111 90.00 110.89 90.00
Element x y z (fractional)
Nb (0.205, 0.250, 0.421)
Nb (0.264, 0.750, 0.073)
Nb (0.736, 0.250, 0.927)
Nb (0.795, 0.750, 0.579)
Co (0.144, 0.250, 0.814)
Co (0.856, 0.750, 0.186)
Ge (0.363, 0.750, 0.710)
Ge (0.637, 0.250, 0.290)

Most intense lines, 10 to 80 degrees two-theta, in order of rising 2θ:
| d (Å) | two_theta | I/Imax |
| --- | --- | --- |
| 2.488 | 36.1 | 73 |
| 2.472 | 36.3 | 100 |
| 2.396 | 37.5 | 33 |
| 2.389 | 37.7 | 38 |
| 2.355 | 38.2 | 22 |
| 2.009 | 45.1 | 88 |
| 1.987 | 45.7 | 35 |
| 1.851 | 49.2 | 39 |
| 1.783 | 51.2 | 33 |
| 1.463 | 63.6 | 21 |


Starting from a DFT-relaxed cell (PBE, Alexandria), the powder diffraction line list of Ba3Ag2O6 was calculated for Cu Kα.
No peak broadening, texture or thermal motion is included.

Crystal structure
Lattice parameters (Å, degrees): 11.271 11.271 11.271 158.42 158.42 30.71
Element x y z (fractional)
Ba (0.000, 0.000, 0.000)
Ba (0.180, 0.180, 0.000)
Ba (0.820, 0.820, 0.000)
Ag (0.404, 0.404, 0.000)
Ag (0.596, 0.596, 0.000)
O (0.085, 0.585, 0.500)
O (0.300, 0.300, 0.000)
O (0.415, 0.915, 0.500)
O (0.585, 0.085, 0.500)
O (0.700, 0.700, 0.000)
O (0.915, 0.415, 0.500)

Most intense lines, 10 to 80 degrees two-theta, in order of rising 2θ:
| d (Å) | two_theta | I/Imax |
| --- | --- | --- |
| 3.028 | 29.5 | 100 |
| 2.984 | 29.9 | 58 |
| 2.501 | 35.9 | 12 |
| 2.303 | 39.1 | 9 |
| 2.110 | 42.9 | 32 |
| 1.757 | 52.1 | 13 |
| 1.731 | 52.9 | 39 |
| 1.514 | 61.2 | 10 |
| 1.492 | 62.2 | 10 |
| 1.335 | 70.6 | 10 |


Starting from a DFT-relaxed cell (PBE, Alexandria), the powder diffraction line list of Y4HoAg2 was calculated for Cu Kα.
No peak broadening, texture or thermal motion is included.

Crystal structure
Lattice parameters (Å, degrees): 8.885 8.885 8.885 35.67 35.67 35.67
Element x y z (fractional)
Y (0.125, 0.125, 0.125)
Y (0.271, 0.271, 0.271)
Y (0.729, 0.729, 0.729)
Y (0.875, 0.875, 0.875)
Ho (0.500, 0.500, 0.500)
Ag (0.388, 0.388, 0.388)
Ag (0.612, 0.612, 0.612)

Most intense lines, 10 to 80 degrees two-theta, in order of rising 2θ:
| d (Å) | two_theta | I/Imax |
| --- | --- | --- |
| 4.631 | 19.2 | 35 |
| 3.425 | 26.0 | 12 |
| 2.770 | 32.3 | 12 |
| 2.721 | 32.9 | 100 |
| 2.600 | 34.5 | 59 |
| 1.941 | 46.8 | 24 |
| 1.880 | 48.4 | 22 |
| 1.571 | 58.8 | 18 |
| 1.547 | 59.8 | 23 |
| 1.361 | 69.0 | 11 |